Record 1
Starting from a cell relaxed with GGA-PBE, the PXRD pattern of RbAsO3 was simulated for a wavelength of 1.5418 Å.
No peak broadening, texture or thermal motion is included.

Most intense lines, 10° ≤ 2θ ≤ 90°, sorted by position:
13.0 deg, intensity 35
13.7 deg, intensity 36
22.2 deg, intensity 41
23.4 deg, intensity 93
23.6 deg, intensity 51
26.8 deg, intensity 100
26.9 deg, intensity 96
27.2 deg, intensity 97
30.5 deg, intensity 66
38.9 deg, intensity 52

Crystal structure
a b c (Å): 8.002 8.002 12.541
angles (deg): 107.75 107.75 60.26
Fractional positions:
Rb 0.000 0.500 0.000
Rb 0.139 0.680 0.501
Rb 0.320 0.861 0.999
Rb 0.500 0.000 0.500
Rb 0.680 0.139 0.001
Rb 0.861 0.320 0.499
As 0.178 0.822 0.250
As 0.342 0.418 0.754
As 0.418 0.342 0.254
As 0.582 0.658 0.746
As 0.658 0.582 0.246
As 0.822 0.178 0.750
O 0.039 0.876 0.124
O 0.124 0.961 0.376
O 0.204 0.376 0.629
O 0.211 0.583 0.252
O 0.289 0.461 0.881
O 0.375 0.625 0.750
O 0.376 0.204 0.129
O 0.417 0.789 0.248
O 0.461 0.289 0.381
O 0.539 0.711 0.619
O 0.583 0.211 0.752
O 0.624 0.796 0.871
O 0.625 0.375 0.250
O 0.711 0.539 0.119
O 0.789 0.417 0.748
O 0.796 0.624 0.371
O 0.876 0.039 0.624
O 0.961 0.124 0.876

Record 2
Starting from a cell relaxed with GGA-PBE, the PXRD pattern of RbAs2RhO8 was simulated for a wavelength of 1.5418 Å.
No peak broadening, texture or thermal motion is included.

Most intense lines, 10° ≤ 2θ ≤ 90°, sorted by position:
10.1 deg, intensity 19
23.0 deg, intensity 100
32.6 deg, intensity 34
33.0 deg, intensity 15
40.3 deg, intensity 10
47.1 deg, intensity 12
52.7 deg, intensity 19
53.3 deg, intensity 7
58.4 deg, intensity 6
73.0 deg, intensity 7

Crystal structure
a b c (Å): 9.352 9.352 9.352
angles (deg): 34.21 34.21 34.21
Fractional positions:
Rb 0.000 0.000 0.000
As 0.232 0.232 0.232
As 0.768 0.768 0.768
Rh 0.500 0.500 0.500
O 0.135 0.608 0.615
O 0.296 0.296 0.296
O 0.385 0.392 0.865
O 0.392 0.865 0.385
O 0.608 0.615 0.135
O 0.615 0.135 0.608
O 0.704 0.704 0.704
O 0.865 0.385 0.392

Record 3
Starting from a cell relaxed with GGA-PBE, the PXRD pattern of RbScAs2O7 was simulated for a wavelength of 1.5418 Å.
No peak broadening, texture or thermal motion is included.

Most intense lines, 10° ≤ 2θ ≤ 90°, sorted by position:
19.4 deg, intensity 32
20.7 deg, intensity 19
24.2 deg, intensity 26
26.5 deg, intensity 19
26.8 deg, intensity 15
27.3 deg, intensity 27
27.6 deg, intensity 18
27.9 deg, intensity 100
31.2 deg, intensity 16
39.3 deg, intensity 14

Crystal structure
a b c (Å): 8.007 10.811 8.943
angles (deg): 90.00 106.76 90.00
Fractional positions:
Rb 0.172 0.177 0.053
Rb 0.172 0.323 0.553
Rb 0.828 0.677 0.447
Rb 0.828 0.823 0.947
Sc 0.236 0.600 0.264
Sc 0.236 0.900 0.764
Sc 0.764 0.100 0.236
Sc 0.764 0.400 0.736
As 0.136 0.593 0.835
As 0.136 0.907 0.335
As 0.440 0.636 0.692
As 0.440 0.864 0.192
As 0.560 0.136 0.808
As 0.560 0.364 0.308
As 0.864 0.093 0.665
As 0.864 0.407 0.165
O 0.004 0.511 0.279
O 0.004 0.989 0.779
O 0.085 0.736 0.754
O 0.085 0.764 0.254
O 0.147 0.589 0.025
O 0.147 0.911 0.525
O 0.308 0.607 0.510
O 0.308 0.893 0.010
O 0.347 0.548 0.819
O 0.347 0.952 0.319
O 0.355 0.078 0.775
O 0.355 0.422 0.275
O 0.451 0.714 0.254
O 0.451 0.786 0.754
O 0.549 0.214 0.246
O 0.549 0.286 0.746
O 0.645 0.578 0.725
O 0.645 0.922 0.225
O 0.653 0.048 0.681
O 0.653 0.452 0.181
O 0.692 0.107 0.990
O 0.692 0.393 0.490
O 0.853 0.089 0.475
O 0.853 0.411 0.975
O 0.915 0.236 0.746
O 0.915 0.264 0.246
O 0.996 0.011 0.221
O 0.996 0.489 0.721

Record 4
Starting from a cell relaxed with GGA-PBE, the PXRD pattern of RbSiAs2O8 was simulated for a wavelength of 1.5418 Å.
No peak broadening, texture or thermal motion is included.

Most intense lines, 10° ≤ 2θ ≤ 90°, sorted by position:
23.8 deg, intensity 100
25.9 deg, intensity 16
30.3 deg, intensity 12
33.5 deg, intensity 8
34.4 deg, intensity 31
46.5 deg, intensity 9
48.7 deg, intensity 10
48.9 deg, intensity 9
55.5 deg, intensity 17
73.8 deg, intensity 7

Crystal structure
a b c (Å): 9.349 9.349 9.349
angles (deg): 32.43 32.43 32.43
Fractional positions:
Rb 0.000 0.000 0.000
Si 0.500 0.500 0.500
As 0.228 0.228 0.228
As 0.772 0.772 0.772
O 0.149 0.615 0.615
O 0.291 0.291 0.291
O 0.385 0.385 0.851
O 0.385 0.851 0.385
O 0.615 0.149 0.615
O 0.615 0.615 0.149
O 0.709 0.709 0.709
O 0.851 0.385 0.385